Computed powder diffractogram of SnBW2F for copper Kα, from a GGA+U-relaxed structure.

Structure:
```
data_SnBW2F
_chemical_formula_sum 'Sn1 B1 W2 F1'
_cell_length_a 4.419
_cell_length_b 4.419
_cell_length_c 4.434
_cell_angle_alpha 90.00
_cell_angle_beta 90.00
_cell_angle_gamma 90.00
_symmetry_space_group_name_H-M 'P 4/m m m'
_symmetry_Int_Tables_number 123
_symmetry_space_group_name_Hall '-P 4 2'
loop_
_atom_site_label
_atom_site_type_symbol
_atom_site_fract_x
_atom_site_fract_y
_atom_site_fract_z
Sn1 Sn 0.000 0.000 0.000
B1 B 0.500 0.500 0.000
W1 W 0.000 0.500 0.500
F1 F 0.500 0.500 0.500
```

Largest 12 diffraction maxima, in order of rising 2θ, 10° ≤ 2θ ≤ 90°:
2θ (°), I_rel, index
20.04, 36, 0 0 1
28.54, 31, 1 1 0
35.13, 100, 1 1 1
40.70, 20, 0 0 2
40.84, 39, 2 0 0
45.87, 16, 2 0 1
50.51, 13, 1 1 2
59.02, 26, 2 0 2
59.13, 13, 2 2 0
70.48, 14, 1 1 3
70.68, 27, 3 1 1
74.26, 13, 2 2 2